No. 1
Theoretical XRD peak list of K2Fe3P4H4O16 for λ = 1.5418 Å (Cu Kα), from DFT lattice parameters and positions (PBE+U).
Lines closer than 0.1° are merged.

Crystal structure
```
K2Fe3P4H4O16
1.0
9.306 0.000 0.000
0.000 8.379 0.000
-1.499 0.000 9.282
K Fe P H O
4 6 8 8 32
Direct
0.071 0.225 0.482
0.071 0.275 0.982
0.929 0.725 0.018
0.929 0.775 0.518
0.365 0.640 0.504
0.365 0.860 0.004
0.500 0.000 0.500
0.500 0.500 0.000
0.635 0.140 0.996
0.635 0.360 0.496
0.196 0.562 0.767
0.196 0.938 0.267
0.400 0.197 0.211
0.400 0.303 0.711
0.600 0.697 0.289
0.600 0.803 0.789
0.804 0.062 0.733
0.804 0.438 0.233
0.124 0.511 0.296
0.124 0.989 0.796
0.284 0.036 0.770
0.284 0.464 0.270
0.716 0.536 0.730
0.716 0.964 0.230
0.876 0.011 0.204
0.876 0.489 0.704
0.046 0.544 0.810
0.046 0.956 0.310
0.194 0.651 0.624
0.194 0.849 0.124
0.227 0.503 0.345
0.227 0.997 0.845
0.242 0.126 0.236
0.242 0.374 0.736
0.314 0.622 0.889
0.314 0.878 0.389
0.365 0.139 0.645
0.365 0.361 0.145
0.461 0.080 0.110
0.461 0.420 0.610
0.493 0.199 0.363
0.493 0.301 0.863
0.507 0.699 0.137
0.507 0.801 0.637
0.539 0.580 0.390
0.539 0.920 0.890
0.635 0.639 0.855
0.635 0.861 0.355
0.686 0.122 0.611
0.686 0.378 0.111
0.758 0.626 0.264
0.758 0.874 0.764
0.773 0.003 0.155
0.773 0.497 0.655
0.806 0.151 0.876
0.806 0.349 0.376
0.954 0.044 0.690
0.954 0.456 0.190
```

The 6 most intense peaks (2θ = 10–90°), by intensity:
2θ = 27.21°, d 3.277, rel. 100, (2 1 -2); 2θ = 29.32°, d 3.046, rel. 90, (1 2 -2); 2θ = 31.38°, d 2.851, rel. 85, (2 1 2); 2θ = 25.85°, d 3.447, rel. 49, (1 2 1); 2θ = 18.06°, d 4.913, rel. 46, (1 1 1); 2θ = 16.33°, d 5.426, rel. 36, (1 1 -1)

=====

No. 2
Theoretical XRD peak list of KFeH2S2O9 for λ = 1.5418 Å (Cu Kα), from DFT lattice parameters and positions (PBE+U).
Lines closer than 0.1° are merged.

Crystal structure
```
KFeH2S2O9
1.0
8.146 0.000 0.000
0.000 5.175 0.000
-2.100 0.000 9.125
K Fe H S O
2 2 4 4 18
Direct
0.073 0.250 0.217
0.927 0.750 0.783
0.413 0.750 0.777
0.587 0.250 0.223
0.334 0.594 0.507
0.334 0.906 0.507
0.666 0.094 0.493
0.666 0.406 0.493
0.168 0.250 0.655
0.343 0.750 0.114
0.657 0.250 0.886
0.832 0.750 0.345
0.015 0.750 0.376
0.160 0.750 0.065
0.231 0.016 0.750
0.231 0.484 0.750
0.243 0.250 0.525
0.395 0.750 0.552
0.398 0.515 0.208
0.398 0.985 0.208
0.433 0.750 0.992
0.567 0.250 0.008
0.602 0.015 0.792
0.602 0.485 0.792
0.605 0.250 0.448
0.757 0.750 0.475
0.769 0.516 0.250
0.769 0.984 0.250
0.840 0.250 0.935
0.985 0.250 0.624
```

The 6 most intense peaks (2θ = 10–90°), by intensity:
2θ = 28.33°, d 3.150, rel. 100, (2 1 0); 2θ = 13.04°, d 6.791, rel. 53, (1 0 -1); 2θ = 23.78°, d 3.742, rel. 50, (1 1 1); 2θ = 19.46°, d 4.563, rel. 44, (0 0 2); 2θ = 34.19°, d 2.622, rel. 34, (0 1 3); 2θ = 20.16°, d 4.406, rel. 31, (1 0 -2)

=====

No. 3
Theoretical XRD peak list of KFe2HSe4O12 for λ = 1.5418 Å (Cu Kα), from DFT lattice parameters and positions (PBE+U).
Lines closer than 0.1° are merged.

Crystal structure
```
KFe2HSe4O12
1.0
10.211 0.000 0.000
0.000 5.371 0.000
-1.272 0.000 10.710
K Fe H Se O
2 4 2 8 24
Direct
0.000 0.000 0.000
0.500 0.075 0.500
0.244 0.056 0.758
0.246 0.568 0.260
0.754 0.568 0.740
0.756 0.056 0.242
0.485 0.382 0.735
0.515 0.382 0.265
0.095 0.079 0.355
0.237 0.563 0.576
0.272 0.552 0.937
0.408 0.037 0.152
0.592 0.037 0.848
0.728 0.552 0.063
0.763 0.563 0.424
0.905 0.079 0.645
0.073 0.125 0.653
0.099 0.777 0.299
0.142 0.250 0.230
0.178 0.754 0.837
0.194 0.271 0.902
0.211 0.636 0.074
0.307 0.848 0.614
0.308 0.489 0.443
0.332 0.363 0.682
0.382 0.857 0.278
0.419 0.349 0.227
0.429 0.001 0.864
0.571 0.001 0.136
0.581 0.349 0.773
0.618 0.857 0.722
0.668 0.363 0.318
0.692 0.489 0.557
0.693 0.848 0.386
0.789 0.636 0.926
0.806 0.271 0.098
0.822 0.754 0.163
0.858 0.250 0.770
0.901 0.777 0.701
0.927 0.125 0.347
```

The 6 most intense peaks (2θ = 10–90°), by intensity:
2θ = 30.49°, d 2.932, rel. 100, (1 1 -3); 2θ = 24.14°, d 3.687, rel. 84, (2 1 0); 2θ = 17.49°, d 5.070, rel. 46, (2 0 0); 2θ = 30.60°, d 2.922, rel. 40, (2 1 2); 2θ = 27.45°, d 3.250, rel. 39, (1 0 3); 2θ = 33.37°, d 2.685, rel. 33, (0 2 0)